The following is a theoretical PXRD pattern of CaGa3Cl12. It was derived from DFT lattice parameters and positions (GGA-PBE), using λ = 1.5418 Å (Cu Kα).
Neutral-atom scattering factors, no anomalous dispersion.

Peak list (10 most intense, 2θ = 10–90°, sorted by position)
hkl 0 1 2, 10.66 deg, I = 100; hkl 0 0 6, 16.79 deg, I = 50; hkl 1 1 3, 17.86 deg, I = 90; hkl 0 2 4, 21.41 deg, I = 21; hkl 1 1 6, 23.10 deg, I = 25; hkl 2 1 1, 24.31 deg, I = 20; hkl 3 0 0, 27.46 deg, I = 54; hkl 1 1 9, 29.95 deg, I = 26; hkl 1 2 8, 33.23 deg, I = 25; hkl 4 2 2, 49.88 deg, I = 18

Cell and atoms:
```
data_CaGa3Cl12
_cell_length_a 11.2530
_cell_length_b 11.2530
_cell_length_c 31.6737
_cell_angle_alpha 90.00
_cell_angle_beta 90.00
_cell_angle_gamma 120.00
_space_group_name_H-M_alt 'R 3 c'
_space_group_IT_number 161
_space_group_name_Hall 'R 3 -2"c'
loop_
_atom_site_label
_atom_site_fract_x
_atom_site_fract_y
_atom_site_fract_z
_atom_site_occupancy
Ca1 0.0000 0.0000 0.0000 1
Ga1 0.0405 0.2863 0.1097 1
Cl1 0.0366 0.5151 0.4486 1
Cl2 0.0525 0.2057 0.4396 1
Cl3 0.0960 0.5335 0.3292 1
Cl4 0.0961 0.5389 0.7159 1
```

---

The following is a theoretical PXRD pattern of CaGaCl6. It was derived from DFT lattice parameters and positions (GGA-PBE), using λ = 1.5418 Å (Cu Kα).
Neutral-atom scattering factors, no anomalous dispersion.

Peak list (10 most intense, 2θ = 10–90°, sorted by position)
hkl 0 1 0, 16.64 deg, I = 25; hkl 1 0 0, 18.91 deg, I = 83; hkl 1 0 -2, 26.16 deg, I = 35; hkl -1 2 1, 31.77 deg, I = 100; hkl 2 0 -2, 33.64 deg, I = 18; hkl 2 -1 1, 42.13 deg, I = 42; hkl 1 1 -3, 42.22 deg, I = 21; hkl -2 3 1, 44.02 deg, I = 18; hkl -1 3 1, 47.86 deg, I = 12; hkl 3 0 -2, 48.73 deg, I = 38

Cell and atoms:
```
data_CaGaCl6
_cell_length_a 6.472
_cell_length_b 6.473
_cell_length_c 6.823
_cell_angle_alpha 90.02
_cell_angle_beta 118.16
_cell_angle_gamma 120.00
_space_group_name_H-M_alt 'P -1'
_space_group_IT_number 2
loop_
_space_group_symop_operation_xyz
'x,y,z'
'-x,-y,-z'
loop_
_atom_site_label
_atom_site_fract_x
_atom_site_fract_y
_atom_site_fract_z
_atom_site_occupancy
Ca1 0.000 0.000 0.000 1
Ga1 0.000 0.500 0.500 1
Cl1 0.155 0.714 0.262 1
Cl2 0.176 0.892 0.735 1
Cl3 0.452 0.561 0.737 1
```

---

The following is a theoretical PXRD pattern of Ca3Ge5Cl16. It was derived from DFT lattice parameters and positions (GGA-PBE), using λ = 1.5418 Å (Cu Kα).
Neutral-atom scattering factors, no anomalous dispersion.

Peak list (10 most intense, 2θ = 10–90°, sorted by position)
hkl 0 0 2, 13.38 deg, I = 53; hkl 1 1 -1, 14.13 deg, I = 43; hkl 2 0 1, 14.34 deg, I = 100; hkl 2 0 2, 18.58 deg, I = 33; hkl 2 2 -2, 28.48 deg, I = 46; hkl 2 2 2, 28.90 deg, I = 62; hkl 2 2 -3, 32.23 deg, I = 41; hkl 2 2 3, 32.78 deg, I = 53; hkl 6 2 0, 44.29 deg, I = 57; hkl 0 4 0, 44.60 deg, I = 37

Cell and atoms:
```
data_Ca3Ge5Cl16
_cell_length_a 14.208
_cell_length_b 8.127
_cell_length_c 13.239
_cell_angle_alpha 90.00
_cell_angle_beta 91.93
_cell_angle_gamma 90.00
_space_group_name_H-M_alt 'C 1 m 1'
_space_group_IT_number 8
loop_
_space_group_symop_operation_xyz
'x,y,z'
'x,-y,z'
'x+1/2,y+1/2,z'
'x+1/2,-y+1/2,z'
loop_
_atom_site_label
_atom_site_fract_x
_atom_site_fract_y
_atom_site_fract_z
_atom_site_occupancy
Ca1 0.000 0.000 0.000 1
Ca2 0.436 0.252 0.492 1
Ge1 0.006 0.500 0.736 1
Ge2 0.170 0.000 0.234 1
Ge3 0.201 0.500 0.489 1
Ge4 0.257 0.261 0.991 1
Cl1 0.012 0.500 0.388 1
Cl2 0.018 0.000 0.396 1
Cl3 0.075 0.279 0.645 1
Cl4 0.089 0.214 0.136 1
Cl5 0.163 0.000 0.893 1
Cl6 0.183 0.500 0.885 1
Cl7 0.264 0.279 0.390 1
Cl8 0.312 0.000 0.130 1
Cl9 0.334 0.500 0.106 1
Cl10 0.352 0.500 0.603 1
Cl11 0.365 0.000 0.617 1
Cl12 0.402 0.251 0.900 1
```

---

The following is a theoretical PXRD pattern of CaGe2Cl6. It was derived from DFT lattice parameters and positions (GGA-PBE), using λ = 1.5418 Å (Cu Kα).
Neutral-atom scattering factors, no anomalous dispersion.

Peak list (10 most intense, 2θ = 10–90°, sorted by position)
hkl 0 1 1, 15.18 deg, I = 100; hkl 1 1 -1, 18.18 deg, I = 37; hkl 1 1 1, 23.46 deg, I = 26; hkl 1 1 -3, 23.77 deg, I = 31; hkl 2 1 -2, 28.41 deg, I = 33; hkl 1 1 2, 28.89 deg, I = 38; hkl 1 1 -4, 29.27 deg, I = 38; hkl 2 2 -2, 36.84 deg, I = 51; hkl 1 2 2, 37.22 deg, I = 34; hkl 1 2 -4, 37.53 deg, I = 40

Cell and atoms:
```
data_CaGe2Cl6
_cell_length_a 7.114
_cell_length_b 6.708
_cell_length_c 13.708
_cell_angle_alpha 90.00
_cell_angle_beta 120.16
_cell_angle_gamma 90.00
_space_group_name_H-M_alt 'P 1 21/c 1'
_space_group_IT_number 14
loop_
_space_group_symop_operation_xyz
'x,y,z'
'-x,-y,-z'
'-x,y+1/2,-z+1/2'
'x,-y+1/2,z+1/2'
loop_
_atom_site_label
_atom_site_fract_x
_atom_site_fract_y
_atom_site_fract_z
_atom_site_occupancy
Ca1 0.000 0.000 0.000 1
Ge1 0.322 0.048 0.822 1
Cl1 0.073 0.239 0.857 1
Cl2 0.302 0.228 0.178 1
Cl3 0.357 0.713 0.529 1
```

---

The following is a theoretical PXRD pattern of Ca2LaGeS4Cl3. It was derived from DFT lattice parameters and positions (GGA-PBE), using λ = 1.5418 Å (Cu Kα).
Neutral-atom scattering factors, no anomalous dispersion.

Peak list (10 most intense, 2θ = 10–90°, sorted by position)
hkl 0 2 0, 10.14 deg, I = 54; hkl 0 2 1, 17.20 deg, I = 47; hkl 2 2 0, 21.33 deg, I = 66; hkl 0 4 1, 24.71 deg, I = 94; hkl 2 2 1, 25.53 deg, I = 100; hkl 2 4 1, 31.18 deg, I = 59; hkl 0 6 1, 33.85 deg, I = 49; hkl 3 3 1, 35.24 deg, I = 79; hkl 2 2 2, 35.40 deg, I = 78; hkl 2 6 0, 36.23 deg, I = 71

Cell and atoms:
```
data_Ca2LaGeS4Cl3
_cell_length_a 9.482
_cell_length_b 17.451
_cell_length_c 6.391
_cell_angle_alpha 90.00
_cell_angle_beta 90.00
_cell_angle_gamma 90.00
_space_group_name_H-M_alt 'C m c 21'
_space_group_IT_number 36
loop_
_space_group_symop_operation_xyz
'x,y,z'
'-x,-y,z+1/2'
'-x,y,z'
'x,-y,z+1/2'
'x+1/2,y+1/2,z'
'-x+1/2,-y+1/2,z+1/2'
'-x+1/2,y+1/2,z'
'x+1/2,-y+1/2,z+1/2'
loop_
_atom_site_label
_atom_site_fract_x
_atom_site_fract_y
_atom_site_fract_z
_atom_site_occupancy
Ca1 0.214 0.082 0.000 1
La1 0.000 0.307 0.992 1
Ge1 0.000 0.158 0.423 1
S1 0.000 0.038 0.297 1
S2 0.000 0.163 0.775 1
S3 0.185 0.216 0.273 1
Cl1 0.000 0.376 0.586 1
Cl2 0.179 0.436 0.103 1
```

---

The following is a theoretical PXRD pattern of Ca7H12Cl2. It was derived from DFT lattice parameters and positions (GGA-PBE), using λ = 1.5418 Å (Cu Kα).
Neutral-atom scattering factors, no anomalous dispersion.

Peak list (10 most intense, 2θ = 10–90°, sorted by position)
hkl 2 1 0, 29.36 deg, I = 100; hkl 1 1 1, 31.04 deg, I = 67; hkl 2 0 1, 33.03 deg, I = 85; hkl 3 0 0, 33.40 deg, I = 29; hkl 1 2 1, 38.43 deg, I = 53; hkl 1 3 1, 47.68 deg, I = 18; hkl 1 4 0, 52.08 deg, I = 30; hkl 3 2 1, 55.73 deg, I = 35; hkl 2 1 2, 58.75 deg, I = 24; hkl 1 4 2, 74.82 deg, I = 18

Cell and atoms:
```
data_Ca7H12Cl2
_cell_length_a 9.2921
_cell_length_b 9.2921
_cell_length_c 3.6717
_cell_angle_alpha 90.00
_cell_angle_beta 90.00
_cell_angle_gamma 120.00
_space_group_name_H-M_alt 'P -6'
_space_group_IT_number 174
loop_
_space_group_symop_operation_xyz
'x,y,z'
'-x+y,-x,-z'
'-y,x-y,z'
'x,y,-z'
'-x+y,-x,z'
'-y,x-y,-z'
loop_
_atom_site_label
_atom_site_fract_x
_atom_site_fract_y
_atom_site_fract_z
_atom_site_occupancy
Ca1 0.0000 0.0000 0.0000 1
Ca2 0.1050 0.6941 0.0000 1
Ca3 0.3960 0.1143 0.5000 1
H1 0.0588 0.4229 0.0000 1
H2 0.1020 0.2149 0.5000 1
H3 0.2753 0.1573 0.0000 1
H4 0.4388 0.3907 0.5000 1
Cl1 0.3333 0.6667 0.5000 1
Cl2 0.6667 0.3333 0.0000 1
```